Entry 1:
For KNpBe2O6, a structure optimized by DFT (GGA-PBE) gives the simulated powder X-ray diffraction pattern in this record (Cu Kα, 1.54184 Å).
Lines closer than 0.1° are merged.

Atomic structure:
```
KNpBe2O6
1.0
4.808 -4.949 0.000
4.808 4.949 0.000
-1.797 0.000 5.458
K Np Be O
2 2 4 12
direct
0.085 0.915 0.750
0.915 0.085 0.250
0.305 0.695 0.250
0.695 0.305 0.750
0.221 0.366 0.854
0.366 0.221 0.354
0.634 0.779 0.646
0.779 0.634 0.146
0.011 0.711 0.267
0.238 0.615 0.904
0.284 0.367 0.165
0.289 0.989 0.233
0.367 0.284 0.665
0.385 0.762 0.596
0.615 0.238 0.404
0.633 0.716 0.335
0.711 0.011 0.767
0.716 0.633 0.835
0.762 0.385 0.096
0.989 0.289 0.733
```

Most intense lines, 2θ = 5–70°, most intense first:
- 18.4°, intensity 100.0
- 19.4°, intensity 61.1
- 23.2°, intensity 40.4
- 27.8°, intensity 35.2
- 26.6°, intensity 34.5
- 28.8°, intensity 27.1
- 17.9°, intensity 26.3
- 32.8°, intensity 25.6
- 24.3°, intensity 22.5
- 30.2°, intensity 22.3

=====

Entry 2:
For KBeO, a structure optimized by DFT (GGA-PBE) gives the simulated powder X-ray diffraction pattern in this record (Cu Kα, 1.54184 Å).
Lines closer than 0.1° are merged.

Atomic structure:
```
KBeO
1.0
3.043 -5.841 0.000
3.043 5.841 0.000
-2.910 0.000 3.121
K Be O
2 2 2
direct
0.166 0.834 0.000
0.834 0.166 0.000
0.498 0.498 0.766
0.502 0.502 0.234
0.394 0.606 0.000
0.606 0.394 0.000
```

Most intense lines, 2θ = 5–70°, most intense first:
- 28.6°, intensity 100.0
- 29.4°, intensity 93.0
- 30.5°, intensity 78.1
- 31.1°, intensity 54.5
- 42.4°, intensity 44.2
- 40.5°, intensity 40.9
- 30.6°, intensity 20.8
- 42.9°, intensity 20.0
- 44.2°, intensity 19.2
- 43.8°, intensity 14.3

=====

Entry 3:
For K3Be2PbO6, a structure optimized by DFT (GGA-PBE) gives the simulated powder X-ray diffraction pattern in this record (Cu Kα, 1.54184 Å).
Lines closer than 0.1° are merged.

Atomic structure:
```
K3Be2PbO6
1.0
5.682 0.000 0.000
-2.841 4.921 0.000
0.000 0.000 6.980
K Be Pb O
3 2 1 6
direct
0.000 0.000 0.000
0.333 0.667 0.741
0.667 0.333 0.259
0.333 0.667 0.313
0.667 0.333 0.687
0.000 0.000 0.500
0.177 0.353 0.304
0.177 0.823 0.304
0.353 0.177 0.696
0.647 0.823 0.304
0.823 0.177 0.696
0.823 0.647 0.696
```

Most intense lines, 2θ = 5–70°, most intense first:
- 31.4°, intensity 100.0
- 18.0°, intensity 63.1
- 22.1°, intensity 48.2
- 12.7°, intensity 46.7
- 45.1°, intensity 30.9
- 56.0°, intensity 28.6
- 50.8°, intensity 18.9
- 38.8°, intensity 17.7
- 34.1°, intensity 16.8
- 41.0°, intensity 12.7

=====

Entry 4:
For KBe4Pd3O12, a structure optimized by DFT (GGA-PBE) gives the simulated powder X-ray diffraction pattern in this record (Cu Kα, 1.54184 Å).
Lines closer than 0.1° are merged.

Atomic structure:
```
KBe4Pd3O12
1.0
5.109 2.950 2.477
-5.109 2.950 2.477
0.000 -5.900 2.477
K Be Pd O
1 4 3 12
direct
0.000 0.000 0.000
0.063 0.500 0.937
0.500 0.500 0.500
0.500 0.937 0.063
0.937 0.063 0.500
0.000 0.562 0.438
0.438 0.000 0.562
0.562 0.438 0.000
0.072 0.635 0.772
0.089 0.911 0.500
0.228 0.365 0.928
0.348 0.652 0.500
0.365 0.928 0.228
0.500 0.089 0.911
0.500 0.348 0.652
0.635 0.772 0.072
0.652 0.500 0.348
0.772 0.072 0.635
0.911 0.500 0.089
0.928 0.228 0.365
```

Most intense lines, 2θ = 5–70°, most intense first:
- 23.4°, intensity 100.0
- 17.4°, intensity 99.3
- 31.4°, intensity 80.1
- 44.2°, intensity 71.9
- 29.3°, intensity 47.0
- 62.7°, intensity 22.7
- 40.5°, intensity 20.5
- 60.8°, intensity 20.1
- 53.8°, intensity 19.2
- 38.6°, intensity 19.0

=====

Entry 5:
For KBe4Pt3O12, a structure optimized by DFT (GGA-PBE) gives the simulated powder X-ray diffraction pattern in this record (Cu Kα, 1.54184 Å).
Lines closer than 0.1° are merged.

Atomic structure:
```
KBe4Pt3O12
1.0
5.088 2.937 2.536
-5.088 2.937 2.536
0.000 -5.875 2.536
K Be Pt O
1 4 3 12
direct
0.000 0.000 0.000
0.068 0.500 0.932
0.500 0.500 0.500
0.500 0.932 0.068
0.932 0.068 0.500
0.000 0.564 0.436
0.436 0.000 0.564
0.564 0.436 0.000
0.047 0.629 0.762
0.087 0.913 0.500
0.238 0.371 0.953
0.346 0.654 0.500
0.371 0.953 0.238
0.500 0.087 0.913
0.500 0.346 0.654
0.629 0.762 0.047
0.654 0.500 0.346
0.762 0.047 0.629
0.913 0.500 0.087
0.953 0.238 0.371
```

Most intense lines, 2θ = 5–70°, most intense first:
- 17.4°, intensity 100.0
- 23.3°, intensity 91.3
- 31.1°, intensity 63.4
- 44.0°, intensity 58.2
- 29.3°, intensity 39.5
- 38.7°, intensity 34.1
- 39.7°, intensity 23.9
- 66.3°, intensity 22.7
- 61.8°, intensity 20.5
- 15.4°, intensity 19.6

=====

Entry 6:
For K2BeRhO4, a structure optimized by DFT (GGA-PBE) gives the simulated powder X-ray diffraction pattern in this record (Cu Kα, 1.54184 Å).
Lines closer than 0.1° are merged.

Atomic structure:
```
K2BeRhO4
1.0
0.000 5.690 9.739
2.543 0.000 9.739
2.543 5.690 0.000
K Be Rh O
4 2 2 8
direct
0.052 0.052 0.698
0.302 0.302 0.948
0.698 0.698 0.052
0.948 0.948 0.302
0.375 0.375 0.375
0.625 0.625 0.625
0.125 0.125 0.125
0.875 0.875 0.875
0.040 0.626 0.545
0.288 0.545 0.626
0.374 0.960 0.712
0.455 0.712 0.960
0.545 0.288 0.040
0.626 0.040 0.288
0.712 0.455 0.374
0.960 0.374 0.455
```

Most intense lines, 2θ = 5–70°, most intense first:
- 19.7°, intensity 100.0
- 18.1°, intensity 87.4
- 31.7°, intensity 84.1
- 18.2°, intensity 77.5
- 37.5°, intensity 73.3
- 29.7°, intensity 66.5
- 56.2°, intensity 44.9
- 29.9°, intensity 43.4
- 38.8°, intensity 36.0
- 31.4°, intensity 31.8

=====

Entry 7:
For KBeRuO4, a structure optimized by DFT (GGA-PBE) gives the simulated powder X-ray diffraction pattern in this record (Cu Kα, 1.54184 Å).
Lines closer than 0.1° are merged.

Atomic structure:
```
KBeRuO4
1.0
4.959 0.000 0.000
0.000 5.311 0.000
-1.362 0.000 6.721
K Be Ru O
2 2 2 8
direct
0.211 0.250 0.074
0.789 0.750 0.926
0.369 0.250 0.652
0.631 0.750 0.348
0.170 0.750 0.459
0.830 0.250 0.541
0.137 0.016 0.666
0.137 0.484 0.666
0.326 0.750 0.213
0.449 0.250 0.438
0.551 0.750 0.562
0.674 0.250 0.787
0.863 0.516 0.334
0.863 0.984 0.334
```

Most intense lines, 2θ = 5–70°, most intense first:
- 13.2°, intensity 100.0
- 26.4°, intensity 54.0
- 33.8°, intensity 39.5
- 29.9°, intensity 32.5
- 53.6°, intensity 16.9
- 26.5°, intensity 16.8
- 44.4°, intensity 15.7
- 43.4°, intensity 15.7
- 45.5°, intensity 14.4
- 18.3°, intensity 13.8

=====

Entry 8:
For K2BeSbO6, a structure optimized by DFT (GGA-PBE) gives the simulated powder X-ray diffraction pattern in this record (Cu Kα, 1.54184 Å).
Lines closer than 0.1° are merged.

Atomic structure:
```
K2BeSbO6
1.0
5.941 0.000 0.000
-2.971 5.145 0.000
0.000 0.000 5.209
K Be Sb O
2 1 1 6
direct
0.333 0.667 0.152
0.667 0.333 0.848
0.000 0.000 0.000
0.000 0.000 0.500
0.139 0.278 0.767
0.139 0.861 0.767
0.278 0.139 0.233
0.722 0.861 0.767
0.861 0.139 0.233
0.861 0.722 0.233
```

Most intense lines, 2θ = 5–70°, most intense first:
- 24.3°, intensity 100.0
- 17.2°, intensity 94.0
- 39.1°, intensity 54.6
- 30.1°, intensity 50.7
- 50.1°, intensity 27.7
- 49.8°, intensity 26.5
- 59.3°, intensity 22.8
- 38.7°, intensity 22.1
- 46.4°, intensity 13.4
- 61.9°, intensity 12.0